(1)
This entry pairs a crystal structure of KLi2ThI8 with its theoretical X-ray powder pattern. Radiation: Cu Kα (weighted mean of Kα1 and Kα2). Structure: a cell relaxed with PBE.
Lines closer than 0.1° are merged.

Peak list (8 most intense, 2θ from 10° to 90°, by intensity)
Position (°2θ)	d [Å]	I_rel
27.9	3.195	100
26.5	3.363	56
25.5	3.488	46
39.2	2.297	39
38.5	2.336	38
15.5	5.719	37
22.1	4.031	30
21.5	4.139	29

Cell and atoms:
Cell lengths 7.8688, 7.8688, 10.2828 Å; angles 91.34, 91.34, 62.45 degrees
Atoms (fractional coordinates):
K 0.0000 0.0000 0.0000
Li 0.3365 0.3365 0.2604
Li 0.6635 0.6635 0.7396
Th 0.0000 0.0000 0.5000
I 0.2283 0.2283 0.4894
I 0.2487 0.7317 0.2818
I 0.2609 0.2609 0.0107
I 0.2683 0.7513 0.7182
I 0.7317 0.2487 0.2818
I 0.7391 0.7391 0.9893
I 0.7513 0.2683 0.7182
I 0.7717 0.7717 0.5106

(2)
This entry pairs a crystal structure of K5MgI8 with its theoretical X-ray powder pattern. Radiation: Cu Kα (weighted mean of Kα1 and Kα2). Structure: a cell relaxed with PBE.
Lines closer than 0.1° are merged.

Peak list (8 most intense, 2θ from 10° to 90°, by intensity)
Position (°2θ)	d [Å]	I_rel
27.0	3.298	100
24.7	3.602	85
23.0	3.865	64
30.2	2.964	63
26.8	3.328	42
42.8	2.112	35
31.3	2.862	32
20.5	4.323	31

Cell and atoms:
Cell lengths 9.3552, 9.3552, 9.3552 Å; angles 112.25, 112.25, 104.04 degrees
Atoms (fractional coordinates):
K 0.0000 0.0000 0.0000
K 0.2482 0.1167 0.5985
K 0.3503 0.7518 0.8685
K 0.5182 0.6497 0.4015
K 0.8833 0.4818 0.1315
Mg 0.7500 0.2500 0.5000
I 0.0662 0.3567 0.8091
I 0.1709 0.3907 0.4046
I 0.2337 0.8291 0.2198
I 0.5476 0.2570 0.1909
I 0.6093 0.0139 0.7802
I 0.6433 0.4524 0.7094
I 0.7430 0.9338 0.2906
I 0.9861 0.7663 0.5954